Diffraction record for EuSi6. The powder diffractogram is computed, not measured: it uses a DFT-relaxed cell (GGA-PBE, Alexandria) and Cu Kα.

Largest 10 diffraction maxima, in order of rising 2θ, 2θ from 10° to 90°:
| 2θ/deg | Rel. int. | h k l |
| --- | --- | --- |
| 15.31 | 33 | 0 0 2 |
| 17.22 | 26 | 0 2 0 |
| 23.15 | 90 | 1 1 1 |
| 31.96 | 100 | 1 1 3 |
| 33.93 | 60 | 1 3 1 |
| 34.85 | 23 | 0 4 0 |
| 35.59 | 59 | 0 2 4 |
| 40.70 | 52 | 2 0 0 |
| 54.62 | 29 | 2 4 0 |
| 55.20 | 42 | 2 2 4 |

Cell and atoms:
```
data_EuSi6
_cell_length_a 4.4309
_cell_length_b 10.2990
_cell_length_c 11.5726
_cell_angle_alpha 90.00
_cell_angle_beta 90.00
_cell_angle_gamma 90.00
_symmetry_space_group_name_H-M 'C m c m'
_symmetry_Int_Tables_number 63
_symmetry_space_group_name_Hall '-C 2c 2'
loop_
_atom_site_label
_atom_site_fract_x
_atom_site_fract_y
_atom_site_fract_z
_atom_site_occupancy
Eu1 0.0000 0.2195 0.2500 1
Si1 0.0000 0.0604 0.6478 1
Si2 0.0000 0.2547 0.5387 1
Si3 0.0000 0.4777 0.6034 1
```



Diffraction record for Ac2BeBi. The powder diffractogram is computed, not measured: it uses a DFT-relaxed cell (GGA-PBE, Alexandria) and Cu Kα.

Largest 10 diffraction maxima, in order of rising 2θ, 2θ from 10° to 90°:
| 2θ/deg | Rel. int. | h k l |
| --- | --- | --- |
| 16.05 | 22 | 1 0 0 |
| 22.77 | 13 | 1 1 0 |
| 26.45 | 14 | 1 0 1 |
| 31.09 | 100 | 1 1 1 |
| 32.43 | 45 | 2 0 0 |
| 46.51 | 17 | 2 2 0 |
| 54.45 | 21 | 2 0 2 |
| 57.01 | 37 | 3 1 1 |
| 64.82 | 13 | 2 2 2 |
| 88.90 | 12 | 3 1 3 |

Cell and atoms:
```
data_Ac2BeBi
_cell_length_a 5.5222
_cell_length_b 5.5222
_cell_length_c 4.2545
_cell_angle_alpha 90.00
_cell_angle_beta 90.00
_cell_angle_gamma 90.00
_symmetry_space_group_name_H-M 'P 4/m m m'
_symmetry_Int_Tables_number 123
_symmetry_space_group_name_Hall '-P 4 2'
loop_
_atom_site_label
_atom_site_fract_x
_atom_site_fract_y
_atom_site_fract_z
_atom_site_occupancy
Ac1 0.0000 0.5000 0.0000 1
Be1 0.0000 0.0000 0.5000 1
Bi1 0.5000 0.5000 0.5000 1
```



Diffraction record for TbAl4Ni4. The powder diffractogram is computed, not measured: it uses a DFT-relaxed cell (GGA-PBE, Alexandria) and Cu Kα.

Largest 10 diffraction maxima, in order of rising 2θ, 2θ from 10° to 90°:
| 2θ/deg | Rel. int. | h k l |
| --- | --- | --- |
| 22.92 | 76 | 1 0 1 |
| 30.93 | 62 | 2 2 0 |
| 31.79 | 100 | 2 1 1 |
| 34.69 | 93 | 3 1 0 |
| 40.94 | 47 | 0 0 2 |
| 44.95 | 52 | 3 2 1 |
| 50.46 | 71 | 1 4 1 |
| 52.18 | 28 | 2 2 2 |
| 54.72 | 49 | 3 1 2 |
| 60.37 | 18 | 4 3 1 |

Cell and atoms:
```
data_TbAl4Ni4
_cell_length_a 8.1764
_cell_length_b 8.1764
_cell_length_c 4.4092
_cell_angle_alpha 90.00
_cell_angle_beta 90.00
_cell_angle_gamma 90.00
_symmetry_space_group_name_H-M 'I 4/m'
_symmetry_Int_Tables_number 87
_symmetry_space_group_name_Hall '-I 4'
loop_
_atom_site_label
_atom_site_fract_x
_atom_site_fract_y
_atom_site_fract_z
_atom_site_occupancy
Tb1 0.0000 0.0000 0.0000 1
Al1 0.1053 0.6179 0.5000 1
Ni1 0.1858 0.6882 0.0000 1
```



Diffraction record for LaP2Ir3. The powder diffractogram is computed, not measured: it uses a DFT-relaxed cell (GGA-PBE, Alexandria) and Cu Kα.

Largest 10 diffraction maxima, in order of rising 2θ, 2θ from 10° to 90°:
| 2θ/deg | Rel. int. | h k l |
| --- | --- | --- |
| 17.02 | 15 | 2 0 1 |
| 31.73 | 41 | 3 1 1 |
| 35.63 | 100 | 1 1 -3 |
| 35.85 | 27 | 5 1 -1 |
| 37.32 | 33 | 5 1 -2 |
| 40.54 | 28 | 5 1 1 |
| 43.69 | 40 | 6 0 -4 |
| 45.70 | 38 | 0 2 0 |
| 47.32 | 17 | 8 0 -3 |
| 65.07 | 18 | 6 2 -4 |

Cell and atoms:
```
data_LaP2Ir3
_cell_length_a 16.1488
_cell_length_b 3.9702
_cell_length_c 9.8391
_cell_angle_alpha 90.00
_cell_angle_beta 107.87
_cell_angle_gamma 90.00
_symmetry_space_group_name_H-M 'C 1 2/m 1'
_symmetry_Int_Tables_number 12
loop_
_symmetry_equiv_pos_as_xyz
'x,y,z'
'-x,-y,-z'
'-x,y,-z'
'x,-y,z'
'x+1/2,y+1/2,z'
'-x+1/2,-y+1/2,-z'
'-x+1/2,y+1/2,-z'
'x+1/2,-y+1/2,z'
loop_
_atom_site_label
_atom_site_fract_x
_atom_site_fract_y
_atom_site_fract_z
_atom_site_occupancy
La1 0.0000 0.0000 0.0000 1
La2 0.1521 0.0000 0.6932 1
P1 0.0361 0.5000 0.7756 1
P2 0.1355 0.5000 0.4497 1
P3 0.2019 0.0000 0.1333 1
Ir1 0.0000 0.5000 0.5000 1
Ir2 0.0468 0.0000 0.3280 1
Ir3 0.1342 0.5000 0.2123 1
Ir4 0.1747 0.5000 0.9504 1
Ir5 0.2268 0.0000 0.3962 1
```



Diffraction record for Ho5Al2Bi. The powder diffractogram is computed, not measured: it uses a DFT-relaxed cell (GGA-PBE, Alexandria) and Cu Kα.

Largest 10 diffraction maxima, in order of rising 2θ, 2θ from 10° to 90°:
| 2θ/deg | Rel. int. | h k l |
| --- | --- | --- |
| 25.12 | 53 | 2 1 1 |
| 30.64 | 24 | 2 2 0 |
| 31.98 | 58 | 1 1 4 |
| 32.11 | 100 | 2 1 3 |
| 34.36 | 97 | 3 1 0 |
| 35.57 | 49 | 2 0 4 |
| 49.38 | 19 | 4 2 0 |
| 52.85 | 28 | 4 0 4 |
| 55.31 | 33 | 3 3 4 |
| 64.62 | 29 | 5 2 3 |

Cell and atoms:
```
data_Ho5Al2Bi
_cell_length_a 8.2534
_cell_length_b 8.2534
_cell_length_c 12.7584
_cell_angle_alpha 90.00
_cell_angle_beta 90.00
_cell_angle_gamma 90.00
_symmetry_space_group_name_H-M 'I 4/m c m'
_symmetry_Int_Tables_number 140
_symmetry_space_group_name_Hall '-I 4 2c'
loop_
_atom_site_label
_atom_site_fract_x
_atom_site_fract_y
_atom_site_fract_z
_atom_site_occupancy
Ho1 0.0000 0.0000 0.0000 1
Ho2 0.1545 0.3455 0.1443 1
Al1 0.1430 0.3570 0.5000 1
Bi1 0.0000 0.0000 0.2500 1
```